1.
# Cu5SbPb
Theoretical powder diffraction line list, Cu Kα. Input: a PBE-relaxed structure.
Lines closer than 0.1° are merged.

Peak list (12 most intense, 2θ = 15–90°, in order of rising 2θ)
d 4.679, 18.97 deg, I = 100, hkl 0 2 0
d 4.015, 22.14 deg, I = 64, hkl 1 0 1
d 3.309, 26.95 deg, I = 53, hkl 2 0 0
d 2.654, 33.77 deg, I = 59, hkl 2 1 1
d 2.340, 38.48 deg, I = 44, hkl 0 4 0
d 2.288, 39.39 deg, I = 72, hkl 1 1 2
d 2.070, 43.72 deg, I = 41, hkl 2 3 1
d 2.021, 44.84 deg, I = 46, hkl 3 0 1
d 1.882, 48.37 deg, I = 56, hkl 1 3 2
d 1.530, 60.53 deg, I = 21, hkl 3 4 1
d 1.466, 63.44 deg, I = 22, hkl 1 5 2
d 1.163, 83.02 deg, I = 24, hkl 1 7 2

Cell and atoms:
a b c (Å): 6.618 9.359 5.050
angles (deg): 90.00 90.00 90.00
Space group Imm2 (No. 44)
Asymmetric unit:
Cu: 0.000 0.000 0.000 x2
Cu: 0.000 0.226 0.251 x4
Cu: 0.180 0.500 0.737 x4
Sb: 0.000 0.000 0.519 x2
Pb: 0.000 0.500 0.239 x2

---

2.
# NdInCu4
Theoretical powder diffraction line list, Cu Kα. Input: a PBE-relaxed structure.
Lines closer than 0.1° are merged.

Peak list (12 most intense, 2θ = 15–90°, in order of rising 2θ)
d 4.229, 21.01 deg, I = 4, hkl 1 1 1
d 2.590, 34.64 deg, I = 52, hkl 2 2 0
d 2.209, 40.86 deg, I = 100, hkl 3 1 1
d 2.115, 42.76 deg, I = 21, hkl 2 2 2
d 1.681, 54.61 deg, I = 1, hkl 3 3 1
d 1.495, 62.07 deg, I = 19, hkl 4 2 2
d 1.410, 66.30 deg, I = 30, hkl 5 1 1
d 1.295, 73.07 deg, I = 23, hkl 4 4 0
d 1.238, 77.02 deg, I = 1, hkl 5 3 1
d 1.158, 83.46 deg, I = 8, hkl 6 2 0
d 1.117, 87.28 deg, I = 11, hkl 5 3 3
d 1.104, 88.55 deg, I = 7, hkl 6 2 2

Cell and atoms:
a b c (Å): 7.325 7.325 7.325
angles (deg): 90.00 90.00 90.00
Space group F-43m (No. 216)
Asymmetric unit:
Nd: 0.000 0.000 0.000 x4
In: 0.250 0.250 0.750 x4
Cu: 0.124 0.124 0.376 x16

---

3.
# K3Nb3B2O12
Theoretical powder diffraction line list, Cu Kα. Input: a PBE-relaxed structure.
Lines closer than 0.1° are merged.

Peak list (12 most intense, 2θ = 15–90°, in order of rising 2θ)
d 4.427, 20.06 deg, I = 80, hkl 1 1 0
d 3.929, 22.63 deg, I = 47, hkl 0 0 1
d 3.497, 25.47 deg, I = 24, hkl 1 0 1
d 2.939, 30.42 deg, I = 93, hkl 1 1 1
d 2.898, 30.86 deg, I = 100, hkl 2 1 0
d 2.744, 32.63 deg, I = 40, hkl 2 0 1
d 1.965, 46.21 deg, I = 29, hkl 0 0 2
d 1.917, 47.43 deg, I = 26, hkl 4 0 0
d 1.759, 51.99 deg, I = 22, hkl 3 2 0
d 1.723, 53.17 deg, I = 27, hkl 4 0 1
d 1.626, 56.60 deg, I = 34, hkl 2 1 2
d 1.605, 57.40 deg, I = 29, hkl 3 2 1

Cell and atoms:
a b c (Å): 8.8535 8.8535 3.9291
angles (deg): 90.00 90.00 120.00
Space group P-62m (No. 189)
Asymmetric unit:
K: 0.0000 0.4041 0.0000 x3
Nb: 0.0000 0.7525 0.5000 x3
B: 0.3333 0.6667 0.5000 x2
O: 0.0000 0.1807 0.5000 x3
O: 0.0000 0.7338 0.0000 x3
O: 0.1876 0.6826 0.5000 x6

---

4.
# RbTaOs2O8
Theoretical powder diffraction line list, Cu Kα. Input: a PBE-relaxed structure.
Lines closer than 0.1° are merged.

Peak list (12 most intense, 2θ = 15–90°, in order of rising 2θ)
d 4.236, 20.97 deg, I = 25, hkl 1 1 -1
d 4.067, 21.85 deg, I = 74, hkl 1 1 1
d 3.906, 22.77 deg, I = 26, hkl 2 0 0
d 3.628, 24.54 deg, I = 62, hkl 2 0 -1
d 3.422, 26.04 deg, I = 22, hkl 2 0 1
d 3.181, 28.05 deg, I = 61, hkl 1 1 -2
d 3.069, 29.10 deg, I = 64, hkl 0 2 0
d 3.039, 29.39 deg, I = 100, hkl 1 1 2
d 2.410, 37.30 deg, I = 31, hkl 1 1 -3
d 2.397, 37.52 deg, I = 45, hkl 3 1 0
d 2.343, 38.42 deg, I = 27, hkl 2 2 -1
d 1.766, 51.76 deg, I = 25, hkl 1 3 2

Cell and atoms:
a b c (Å): 7.834 6.138 8.147
angles (deg): 90.00 94.30 90.00
Space group C2/m (No. 12)
Asymmetric unit:
Rb: 0.000 0.000 0.000 x2
Ta: 0.000 0.000 0.500 x2
Os: 0.119 0.500 0.724 x4
O: 0.058 0.213 0.678 x8
O: 0.142 0.500 0.938 x4
O: 0.248 0.000 0.455 x4

---

5.
# SrZnCdS3
Theoretical powder diffraction line list, Cu Kα. Input: a PBE-relaxed structure.
Lines closer than 0.1° are merged.

Peak list (12 most intense, 2θ = 15–90°, in order of rising 2θ)
d 4.085, 21.76 deg, I = 46, hkl 0 2 2
d 3.272, 27.26 deg, I = 33, hkl 0 4 0
d 3.053, 29.26 deg, I = 55, hkl 1 1 2
d 2.811, 31.84 deg, I = 84, hkl 1 3 1
d 2.615, 34.30 deg, I = 50, hkl 0 0 4
d 2.556, 35.10 deg, I = 25, hkl 1 1 3
d 2.548, 35.22 deg, I = 100, hkl 1 3 2
d 2.238, 40.31 deg, I = 21, hkl 1 3 3
d 2.043, 44.35 deg, I = 37, hkl 0 4 4
d 2.011, 45.07 deg, I = 63, hkl 0 6 2
d 1.963, 46.26 deg, I = 33, hkl 2 0 0
d 1.415, 66.02 deg, I = 22, hkl 2 4 4

Cell and atoms:
a b c (Å): 3.925 13.087 10.459
angles (deg): 90.00 90.00 90.00
Space group Cmcm (No. 63)
Asymmetric unit:
Sr: 0.000 0.245 0.250 x4
Zn: 0.000 0.473 0.750 x4
Cd: 0.000 0.000 0.000 x4
S: 0.000 0.080 0.750 x4
S: 0.000 0.366 0.571 x8

---

6.
# NdTm2Mg3Pt3
Theoretical powder diffraction line list, Cu Kα. Input: a PBE-relaxed structure.
Lines closer than 0.1° are merged.

Peak list (12 most intense, 2θ = 15–90°, in order of rising 2θ)
d 3.684, 24.16 deg, I = 52, hkl 0 3 1
d 3.436, 25.93 deg, I = 28, hkl 1 1 1
d 3.191, 27.96 deg, I = 14, hkl 0 4 0
d 2.734, 32.76 deg, I = 69, hkl 1 0 2
d 2.513, 35.74 deg, I = 100, hkl 1 2 2
d 2.132, 42.40 deg, I = 13, hkl 0 6 0
d 2.125, 42.55 deg, I = 26, hkl 0 3 3
d 2.078, 43.56 deg, I = 28, hkl 1 5 1
d 2.039, 44.43 deg, I = 24, hkl 2 0 0
d 1.784, 51.20 deg, I = 14, hkl 2 3 1
d 1.471, 63.20 deg, I = 16, hkl 2 3 3
d 1.379, 67.96 deg, I = 19, hkl 1 8 2

Cell and atoms:
a b c (Å): 4.078 12.790 7.353
angles (deg): 90.00 90.00 90.00
Space group Amm2 (No. 38)
Asymmetric unit:
Nd: 0.000 0.000 0.000 x2
Tm: 0.000 0.204 0.618 x4
Mg: 0.500 0.000 0.656 x2
Mg: 0.500 0.123 0.293 x4
Pt: 0.000 0.000 0.421 x2
Pt: 0.500 0.172 0.911 x4

---

7.
# SbIrO4
Theoretical powder diffraction line list, Cu Kα. Input: a PBE-relaxed structure.
Lines closer than 0.1° are merged.

Peak list (12 most intense, 2θ = 15–90°, in order of rising 2θ)
d 3.159, 28.25 deg, I = 100, hkl 1 1 1
d 2.847, 31.42 deg, I = 73, hkl 3 1 -1
d 2.829, 31.62 deg, I = 32, hkl 4 0 0
d 2.590, 34.64 deg, I = 23, hkl 2 0 -2
d 2.403, 37.43 deg, I = 18, hkl 0 2 0
d 2.095, 43.18 deg, I = 18, hkl 2 0 2
d 1.832, 49.79 deg, I = 23, hkl 4 2 0
d 1.761, 51.91 deg, I = 21, hkl 2 2 -2
d 1.749, 52.31 deg, I = 18, hkl 5 1 1
d 1.632, 56.36 deg, I = 17, hkl 1 1 -3
d 1.588, 58.08 deg, I = 16, hkl 7 1 -1
d 1.579, 58.44 deg, I = 13, hkl 2 2 2

Cell and atoms:
a b c (Å): 11.790 4.806 5.256
angles (deg): 90.00 106.29 90.00
Space group C2/c (No. 15)
Asymmetric unit:
Sb: 0.000 0.229 0.250 x4
Ir: 0.250 0.250 0.000 x4
O: 0.094 0.085 0.977 x8
O: 0.184 0.444 0.664 x8

---

8.
# ErTm2Mg3CuPt2
Theoretical powder diffraction line list, Cu Kα. Input: a PBE-relaxed structure.
Lines closer than 0.1° are merged.

Peak list (12 most intense, 2θ = 15–90°, in order of rising 2θ)
d 3.712, 23.98 deg, I = 36, hkl 0 3 1
d 2.695, 33.25 deg, I = 100, hkl 1 0 2
d 2.485, 36.14 deg, I = 81, hkl 1 2 2
d 2.430, 37.00 deg, I = 24, hkl 0 5 1
d 2.143, 42.17 deg, I = 29, hkl 0 3 3
d 2.065, 43.84 deg, I = 21, hkl 1 5 1
d 1.959, 46.34 deg, I = 19, hkl 2 0 0
d 1.783, 51.24 deg, I = 21, hkl 0 5 3
d 1.623, 56.72 deg, I = 18, hkl 1 5 3
d 1.446, 64.44 deg, I = 16, hkl 2 3 3
d 1.380, 67.91 deg, I = 19, hkl 1 8 2
d 1.319, 71.52 deg, I = 14, hkl 2 5 3

Cell and atoms:
a b c (Å): 3.918 12.868 7.417
angles (deg): 90.00 90.00 90.00
Space group Amm2 (No. 38)
Asymmetric unit:
Er: 0.000 0.000 0.000 x2
Tm: 0.000 0.208 0.624 x4
Mg: 0.500 0.000 0.662 x2
Mg: 0.500 0.123 0.293 x4
Cu: 0.000 0.000 0.417 x2
Pt: 0.500 0.167 0.916 x4

---

9.
# MgTaGaFe
Theoretical powder diffraction line list, Cu Kα. Input: a PBE-relaxed structure.
Lines closer than 0.1° are merged.

Peak list (10 most intense, 2θ = 15–90°, in order of rising 2θ)
d 3.548, 25.10 deg, I = 27, hkl 1 1 1
d 3.073, 29.06 deg, I = 32, hkl 2 0 0
d 2.173, 41.57 deg, I = 100, hkl 2 2 0
d 1.853, 49.17 deg, I = 13, hkl 3 1 1
d 1.774, 51.52 deg, I = 9, hkl 2 2 2
d 1.536, 60.24 deg, I = 16, hkl 4 0 0
d 1.410, 66.30 deg, I = 6, hkl 3 3 1
d 1.374, 68.25 deg, I = 12, hkl 4 2 0
d 1.254, 75.84 deg, I = 33, hkl 4 2 2
d 1.183, 81.36 deg, I = 4, hkl 5 1 1

Cell and atoms:
a b c (Å): 6.145 6.145 6.145
angles (deg): 90.00 90.00 90.00
Space group F-43m (No. 216)
Asymmetric unit:
Mg: 0.000 0.000 0.000 x4
Ta: 0.250 0.250 0.250 x4
Ga: 0.250 0.250 0.750 x4
Fe: 0.000 0.000 0.500 x4

---

10.
# YSi6Ni6
Theoretical powder diffraction line list, Cu Kα. Input: a PBE-relaxed structure.
Lines closer than 0.1° are merged.

Peak list (12 most intense, 2θ = 15–90°, in order of rising 2θ)
d 3.176, 28.09 deg, I = 26, hkl 2 0 2
d 2.937, 30.43 deg, I = 52, hkl 2 1 2
d 2.487, 36.12 deg, I = 81, hkl 1 1 4
d 2.453, 36.64 deg, I = 57, hkl 2 2 2
d 2.442, 36.81 deg, I = 75, hkl 3 1 0
d 2.263, 39.83 deg, I = 40, hkl 2 0 4
d 2.237, 40.31 deg, I = 100, hkl 3 1 2
d 1.876, 48.52 deg, I = 75, hkl 2 1 5
d 1.857, 49.07 deg, I = 54, hkl 3 2 3
d 1.847, 49.34 deg, I = 57, hkl 4 1 1
d 1.588, 58.08 deg, I = 26, hkl 4 0 4
d 1.207, 79.41 deg, I = 21, hkl 5 2 5

Cell and atoms:
a b c (Å): 7.722 7.722 11.174
angles (deg): 90.00 90.00 90.00
Space group P-4b2 (No. 117)
Asymmetric unit:
Y: 0.000 0.500 0.000 x2
Y: 0.000 0.500 0.500 x2
Si: 0.070 0.288 0.249 x8
Si: 0.110 0.862 0.921 x8
Si: 0.157 0.168 0.631 x8
Ni: 0.057 0.688 0.749 x8
Ni: 0.125 0.136 0.426 x8
Ni: 0.157 0.824 0.124 x8

---

11.
# Nd4CI2Cl3
Theoretical powder diffraction line list, Cu Kα. Input: a PBE-relaxed structure.
Lines closer than 0.1° are merged.

Peak list (12 most intense, 2θ = 15–90°, in order of rising 2θ)
d 4.268, 20.81 deg, I = 18, hkl 4 0 -1
d 3.179, 28.07 deg, I = 23, hkl 3 1 -1
d 2.982, 29.97 deg, I = 47, hkl 6 0 0
d 2.955, 30.24 deg, I = 40, hkl 3 1 1
d 2.859, 31.29 deg, I = 100, hkl 1 1 -2
d 2.755, 32.50 deg, I = 15, hkl 4 0 2
d 2.659, 33.71 deg, I = 25, hkl 5 1 0
d 2.459, 36.55 deg, I = 21, hkl 2 0 3
d 2.092, 43.24 deg, I = 26, hkl 5 1 2
d 2.036, 44.50 deg, I = 29, hkl 7 1 -2
d 1.987, 45.67 deg, I = 19, hkl 0 2 0
d 1.653, 55.61 deg, I = 21, hkl 6 2 0

Cell and atoms:
a b c (Å): 18.213 3.973 8.241
angles (deg): 90.00 100.82 90.00
Space group C2/m (No. 12)
Asymmetric unit:
Nd: 0.006 0.000 0.290 x4
Nd: 0.141 0.500 0.569 x4
C: 0.000 0.500 0.500 x2
I: 0.167 0.000 0.866 x4
Cl: 0.000 0.500 0.000 x2
Cl: 0.171 0.000 0.340 x4

---

12.
# Er2Ge2O5
Theoretical powder diffraction line list, Cu Kα. Input: a PBE-relaxed structure.
Lines closer than 0.1° are merged.

Peak list (12 most intense, 2θ = 15–90°, in order of rising 2θ)
d 4.606, 19.27 deg, I = 10, hkl 0 0 2
d 3.628, 24.53 deg, I = 17, hkl 1 0 0
d 2.850, 31.39 deg, I = 100, hkl 1 0 2
d 2.566, 34.97 deg, I = 32, hkl 1 1 0
d 2.303, 39.12 deg, I = 12, hkl 0 0 4
d 1.814, 50.30 deg, I = 19, hkl 2 0 0
d 1.714, 53.47 deg, I = 31, hkl 1 1 4
d 1.530, 60.49 deg, I = 31, hkl 2 1 2
d 1.425, 65.50 deg, I = 11, hkl 2 0 4
d 1.414, 66.09 deg, I = 12, hkl 1 0 6
d 1.170, 82.45 deg, I = 7, hkl 3 0 2
d 1.115, 87.47 deg, I = 11, hkl 2 1 6

Cell and atoms:
a b c (Å): 3.628 3.628 9.211
angles (deg): 90.00 90.00 90.00
Space group P4/mmm (No. 123)
Asymmetric unit:
Er: 0.000 0.000 0.245 x2
Ge: 0.500 0.500 0.000 x1
Ge: 0.500 0.500 0.500 x1
O: 0.000 0.000 0.000 x1
O: 0.000 0.500 0.370 x4

---

13.
# Nd2Sm2C2I2BrCl2
Theoretical powder diffraction line list, Cu Kα. Input: a PBE-relaxed structure.
Lines closer than 0.1° are merged.

Peak list (12 most intense, 2θ = 15–90°, in order of rising 2θ)
d 3.417, 26.08 deg, I = 20, hkl 1 1 1
d 3.215, 27.75 deg, I = 70, hkl 6 0 0
d 2.966, 30.13 deg, I = 14, hkl 3 1 1
d 2.851, 31.38 deg, I = 100, hkl 1 1 -2
d 2.765, 32.38 deg, I = 40, hkl 5 1 -1
d 2.659, 33.71 deg, I = 16, hkl 0 0 3
d 2.359, 38.15 deg, I = 18, hkl 6 0 -3
d 2.167, 41.69 deg, I = 32, hkl 7 1 -2
d 2.101, 43.06 deg, I = 42, hkl 5 1 2
d 1.977, 45.91 deg, I = 20, hkl 0 2 0
d 1.684, 54.49 deg, I = 21, hkl 6 2 0
d 1.451, 64.20 deg, I = 14, hkl 7 1 -5

Cell and atoms:
a b c (Å): 19.921 3.954 8.238
angles (deg): 90.00 104.49 90.00
Space group C2/m (No. 12)
Asymmetric unit:
Nd: 0.002 0.000 0.204 x4
Sm: 0.152 0.500 0.106 x4
C: 0.036 0.500 0.023 x4
I: 0.168 0.000 0.818 x4
Br: 0.000 0.500 0.500 x2
Cl: 0.155 0.000 0.346 x4